Entry 1:
This entry pairs a crystal structure of Mg2Zn3 with its theoretical X-ray powder pattern. Radiation: Cu Kα X-rays. Structure: a GGA-PBE-relaxed structure.
Peak positions follow from Bragg's law for the DFT cell and can differ from measured ones.

Cell and atoms:
```
Mg2Zn3
1.0
3.348 1.933 5.100
-3.348 1.933 5.100
0.000 -3.866 5.100
Mg Zn
4 6
Direct
0.094 0.094 0.094 Mg
0.406 0.406 0.406 Mg
0.594 0.594 0.594 Mg
0.906 0.906 0.906 Mg
0.024 0.250 0.476 Zn
0.250 0.476 0.024 Zn
0.476 0.024 0.250 Zn
0.524 0.976 0.750 Zn
0.750 0.524 0.976 Zn
0.976 0.750 0.524 Zn
```

The 10 most intense peaks (2θ = 10–90°), low angle first:
Position (°2θ), I (rel.)
19.2, 64.7
32.0, 100.0
33.0, 22.6
35.2, 60.7
39.0, 20.8
41.6, 80.5
42.9, 35.1
47.8, 34.2
51.3, 42.7
59.7, 26.2



Entry 2:
This entry pairs a crystal structure of Li2Sc2Si2PdPt with its theoretical X-ray powder pattern. Radiation: Cu Kα X-rays. Structure: a GGA-PBE-relaxed structure.
Peak positions follow from Bragg's law for the DFT cell and can differ from measured ones.

Cell and atoms:
```
Li2Sc2Si2PdPt
1.0
4.380 0.000 0.000
0.000 4.380 0.000
0.000 0.000 6.195
Li Sc Si Pd Pt
2 2 2 1 1
Direct
0.000 0.000 0.000 Li
0.500 0.500 0.500 Li
0.000 0.500 0.249 Sc
0.500 0.000 0.751 Sc
0.000 0.500 0.750 Si
0.500 0.000 0.250 Si
0.500 0.500 0.000 Pd
0.000 0.000 0.500 Pt
```

The 10 most intense peaks (2θ = 10–90°), low angle first:
Position (°2θ), I (rel.)
14.3, 6.5
24.9, 100.0
28.8, 15.7
41.2, 96.5
48.8, 49.0
59.7, 15.8
65.7, 20.0
75.1, 31.8
80.6, 15.1
89.5, 10.5



Entry 3:
This entry pairs a crystal structure of ZrTaFe with its theoretical X-ray powder pattern. Radiation: Cu Kα X-rays. Structure: a GGA-PBE-relaxed structure.
Peak positions follow from Bragg's law for the DFT cell and can differ from measured ones.

Cell and atoms:
```
ZrTaFe
1.0
5.354 0.000 0.000
0.000 5.531 0.000
0.000 0.000 6.917
Zr Ta Fe
4 4 4
Direct
0.000 0.250 0.111 Zr
0.000 0.750 0.889 Zr
0.500 0.250 0.389 Zr
0.500 0.750 0.611 Zr
0.000 0.000 0.500 Ta
0.000 0.500 0.500 Ta
0.500 0.000 0.000 Ta
0.500 0.500 0.000 Ta
0.250 0.250 0.750 Fe
0.250 0.750 0.250 Fe
0.750 0.250 0.750 Fe
0.750 0.750 0.250 Fe
```

The 10 most intense peaks (2θ = 10–90°), low angle first:
Position (°2θ), I (rel.)
21.0, 42.8
25.8, 21.1
33.5, 27.2
38.9, 100.0
39.6, 21.4
41.8, 32.1
42.7, 70.9
63.5, 32.1
73.7, 25.1
83.5, 20.2



Entry 4:
This entry pairs a crystal structure of Hf4BiPbN2 with its theoretical X-ray powder pattern. Radiation: Cu Kα X-rays. Structure: a GGA-PBE-relaxed structure.
Peak positions follow from Bragg's law for the DFT cell and can differ from measured ones.

Cell and atoms:
```
Hf4BiPbN2
1.0
3.375 0.000 0.000
-1.688 2.923 0.000
0.000 0.000 14.204
Hf Bi Pb N
4 1 1 2
Direct
0.000 0.000 0.167 Hf
0.000 0.000 0.833 Hf
0.667 0.333 0.330 Hf
0.667 0.333 0.670 Hf
0.667 0.333 0.000 Bi
0.000 0.000 0.500 Pb
0.333 0.667 0.249 N
0.333 0.667 0.751 N
```

The 10 most intense peaks (2θ = 10–90°), low angle first:
Position (°2θ), I (rel.)
30.6, 23.2
36.1, 100.0
38.0, 18.4
49.6, 14.9
54.4, 21.8
63.7, 3.1
67.0, 16.9
67.4, 16.5
68.3, 20.6
76.6, 4.1



Entry 5:
This entry pairs a crystal structure of Hf4SbSN2 with its theoretical X-ray powder pattern. Radiation: Cu Kα X-rays. Structure: a GGA-PBE-relaxed structure.
Peak positions follow from Bragg's law for the DFT cell and can differ from measured ones.

Cell and atoms:
```
Hf4SbSN2
1.0
3.379 0.000 0.000
-1.689 2.926 0.000
0.000 0.000 12.581
Hf Sb S N
4 1 1 2
Direct
0.000 0.000 0.142 Hf
0.000 0.000 0.858 Hf
0.333 0.667 0.326 Hf
0.333 0.667 0.674 Hf
0.000 0.000 0.500 Sb
0.333 0.667 0.000 S
0.667 0.333 0.234 N
0.667 0.333 0.766 N
```

The 10 most intense peaks (2θ = 10–90°), low angle first:
Position (°2θ), I (rel.)
30.6, 28.7
31.4, 12.4
33.8, 9.8
37.5, 100.0
43.1, 10.4
53.8, 9.7
54.3, 26.6
67.6, 9.7
67.8, 17.6
71.7, 14.0



Entry 6:
This entry pairs a crystal structure of CdB3W4 with its theoretical X-ray powder pattern. Radiation: Cu Kα X-rays. Structure: a GGA-PBE-relaxed structure.
Peak positions follow from Bragg's law for the DFT cell and can differ from measured ones.

Cell and atoms:
```
CdB3W4
1.0
3.126 0.000 0.000
-1.563 2.707 0.000
0.000 0.000 24.844
Cd B W
2 6 8
Direct
0.333 0.667 0.250 Cd
0.667 0.333 0.750 Cd
0.000 0.000 0.000 B
0.000 0.000 0.500 B
0.333 0.667 0.606 B
0.333 0.667 0.894 B
0.667 0.333 0.106 B
0.667 0.333 0.394 B
0.000 0.000 0.153 W
0.000 0.000 0.347 W
0.000 0.000 0.653 W
0.000 0.000 0.847 W
0.333 0.667 0.054 W
0.333 0.667 0.446 W
0.667 0.333 0.554 W
0.667 0.333 0.946 W
```

The 10 most intense peaks (2θ = 10–90°), low angle first:
Position (°2θ), I (rel.)
33.3, 20.7
33.9, 20.5
36.2, 100.0
37.8, 64.7
39.8, 72.4
52.8, 12.4
59.1, 43.3
69.8, 19.5
71.3, 46.1
73.6, 11.9



Entry 7:
This entry pairs a crystal structure of LaPrMg2Sn2 with its theoretical X-ray powder pattern. Radiation: Cu Kα X-rays. Structure: a GGA-PBE-relaxed structure.
Peak positions follow from Bragg's law for the DFT cell and can differ from measured ones.

Cell and atoms:
```
LaPrMg2Sn2
1.0
4.550 0.000 0.000
0.000 4.550 0.000
0.000 0.000 16.385
La Pr Mg Sn
2 2 4 4
Direct
0.000 0.000 0.000 La
0.500 0.500 0.500 La
0.000 0.000 0.670 Pr
0.500 0.500 0.170 Pr
0.000 0.500 0.334 Mg
0.000 0.500 0.834 Mg
0.500 0.000 0.334 Mg
0.500 0.000 0.834 Mg
0.000 0.000 0.202 Sn
0.000 0.000 0.466 Sn
0.500 0.500 0.702 Sn
0.500 0.500 0.966 Sn
```

The 10 most intense peaks (2θ = 10–90°), low angle first:
Position (°2θ), I (rel.)
21.7, 46.8
27.7, 100.0
29.8, 32.2
33.7, 36.0
35.5, 93.2
39.6, 58.0
43.5, 23.5
45.6, 27.5
52.3, 23.9
69.2, 46.0



Entry 8:
This entry pairs a crystal structure of Nd2Sm2C2BrCl4 with its theoretical X-ray powder pattern. Radiation: Cu Kα X-rays. Structure: a GGA-PBE-relaxed structure.
Peak positions follow from Bragg's law for the DFT cell and can differ from measured ones.

Cell and atoms:
```
Nd2Sm2C2BrCl4
1.0
9.381 -1.942 0.000
9.381 1.942 0.000
-2.073 0.000 7.935
Nd Sm C Br Cl
2 2 2 1 4
Direct
0.000 0.000 0.202 Nd
0.000 0.000 0.798 Nd
0.340 0.340 0.895 Sm
0.660 0.660 0.105 Sm
0.461 0.461 0.976 C
0.539 0.539 0.024 C
0.500 0.500 0.500 Br
0.162 0.162 0.347 Cl
0.171 0.171 0.857 Cl
0.829 0.829 0.143 Cl
0.838 0.838 0.653 Cl
```

The 10 most intense peaks (2θ = 10–90°), low angle first:
Position (°2θ), I (rel.)
11.2, 71.4
16.6, 26.5
27.3, 28.4
28.1, 31.3
29.5, 67.0
31.0, 28.8
31.7, 100.0
43.3, 36.5
44.5, 37.0
56.3, 22.4



Entry 9:
This entry pairs a crystal structure of PrBS3 with its theoretical X-ray powder pattern. Radiation: Cu Kα X-rays. Structure: a GGA-PBE-relaxed structure.
Peak positions follow from Bragg's law for the DFT cell and can differ from measured ones.

Cell and atoms:
```
PrBS3
1.0
7.691 0.000 0.000
0.000 6.022 0.000
0.000 0.000 8.995
Pr B S
4 4 12
Direct
0.114 0.071 0.000 Pr
0.386 0.571 0.500 Pr
0.614 0.429 0.000 Pr
0.886 0.929 0.500 Pr
0.146 0.596 0.171 B
0.354 0.096 0.671 B
0.646 0.904 0.171 B
0.854 0.404 0.671 B
0.002 0.595 0.013 S
0.172 0.835 0.294 S
0.203 0.866 0.702 S
0.297 0.366 0.202 S
0.328 0.335 0.794 S
0.498 0.095 0.513 S
0.502 0.905 0.013 S
0.672 0.665 0.294 S
0.703 0.634 0.702 S
0.797 0.134 0.202 S
0.828 0.165 0.794 S
0.998 0.405 0.513 S
```

The 10 most intense peaks (2θ = 10–90°), low angle first:
Position (°2θ), I (rel.)
18.7, 68.2
19.7, 64.5
21.2, 86.1
25.2, 100.0
33.5, 81.4
34.1, 45.3
35.4, 63.3
37.8, 52.6
38.1, 83.4
39.5, 41.2



Entry 10:
This entry pairs a crystal structure of SrNdZn2S2O2 with its theoretical X-ray powder pattern. Radiation: Cu Kα X-rays. Structure: a GGA-PBE-relaxed structure.
Peak positions follow from Bragg's law for the DFT cell and can differ from measured ones.

Cell and atoms:
```
SrNdZn2S2O2
1.0
4.007 0.000 0.000
-2.004 3.470 0.000
0.000 0.000 10.872
Sr Nd Zn S O
1 1 2 2 2
Direct
0.000 0.000 0.000 Sr
0.333 0.667 0.484 Nd
0.667 0.333 0.239 Zn
0.667 0.333 0.730 Zn
0.000 0.000 0.308 S
0.333 0.667 0.784 S
0.667 0.333 0.062 O
0.667 0.333 0.546 O
```

The 10 most intense peaks (2θ = 10–90°), low angle first:
Position (°2θ), I (rel.)
27.0, 100.0
30.6, 97.5
33.0, 40.4
35.8, 82.6
45.3, 73.5
55.6, 18.2
57.1, 48.3
57.4, 29.3
59.0, 18.8
83.6, 18.1



Entry 11:
This entry pairs a crystal structure of Al8Re5 with its theoretical X-ray powder pattern. Radiation: Cu Kα X-rays. Structure: a GGA-PBE-relaxed structure.
Peak positions follow from Bragg's law for the DFT cell and can differ from measured ones.

Cell and atoms:
```
Al8Re5
1.0
2.485 1.435 8.973
-2.485 1.435 8.973
0.000 -2.869 8.973
Al Re
8 5
Direct
0.094 0.094 0.587 Al
0.094 0.587 0.094 Al
0.166 0.166 0.166 Al
0.413 0.906 0.906 Al
0.587 0.094 0.094 Al
0.834 0.834 0.834 Al
0.906 0.413 0.906 Al
0.906 0.906 0.413 Al
0.000 0.000 0.000 Re
0.352 0.352 0.352 Re
0.453 0.453 0.453 Re
0.547 0.547 0.547 Re
0.648 0.648 0.648 Re
```

The 10 most intense peaks (2θ = 10–90°), low angle first:
Position (°2θ), I (rel.)
20.9, 45.5
21.7, 46.1
29.9, 21.2
36.1, 100.0
39.5, 35.8
41.5, 39.1
42.5, 71.7
47.6, 49.6
57.0, 21.8
69.4, 27.6